This entry pairs a crystal structure of Rb3Sn2Te4 with its calculated powder X-ray diffraction pattern. Radiation: Cu Kα. Structure: a crystal structure in Alexandria, relaxed with PBE.
Peak positions follow from Bragg's law for the DFT cell and can differ from measured ones.

Main lines, sorted by position (2θ = 10–80°):
2θ (°), Rel. int.
12.64, 62
18.84, 51
20.28, 55
23.35, 65
28.56, 61
28.66, 100
29.09, 54
29.20, 84

Cell and atoms:
a = 9.5209 Å, b = 9.5209 Å, c = 9.5361 Å
α = 96.43°, β = 96.43°, γ = 82.06°
Fractional coordinates of all 18 atoms:
Rb 0.1236 0.8764 0.7500
Rb 0.2307 0.4784 0.3626
Rb 0.4784 0.2307 0.8626
Rb 0.5216 0.7693 0.1374
Rb 0.7693 0.5216 0.6374
Rb 0.8764 0.1236 0.2500
Sn 0.0672 0.3132 0.9114
Sn 0.3132 0.0672 0.4114
Sn 0.6868 0.9328 0.5886
Sn 0.9328 0.6868 0.0886
Te 0.1115 0.2255 0.6011
Te 0.2151 0.5663 0.9792
Te 0.2255 0.1115 0.1011
Te 0.4337 0.7849 0.5208
Te 0.5663 0.2151 0.4792
Te 0.7745 0.8885 0.8989
Te 0.7849 0.4337 0.0208
Te 0.8885 0.7745 0.3989